Diffraction record for Ho4PuTl5. The XRD peak list is simulated, not measured: it uses a PBE-relaxed structure and CuKα.

```
Ho4PuTl5
1.0
3.723 0.000 0.000
0.000 3.723 0.000
0.000 0.000 19.458
Ho Pu Tl
4 1 5
Direct
0.000 0.000 0.100
0.000 0.000 0.299
0.000 0.000 0.701
0.000 0.000 0.900
0.000 0.000 0.500
0.500 0.500 0.000
0.500 0.500 0.200
0.500 0.500 0.398
0.500 0.500 0.602
0.500 0.500 0.800
```

Most intense lines, 10° ≤ 2θ ≤ 90°, in order of falling intensity:
two_theta, d/Å, I_rel, h k l
33.31, 2.690, 100, 1 0 5
34.06, 2.633, 47, 1 1 0
60.48, 1.531, 37, 2 1 5
59.03, 1.565, 20, 1 1 10
48.93, 1.862, 17, 2 0 0
69.94, 1.345, 12, 2 0 10
46.68, 1.946, 10, 0 0 10
78.00, 1.225, 9, 1 0 15
81.39, 1.182, 8, 3 0 5
81.81, 1.177, 8, 3 1 0